Record 1
Diffraction record for Ca2AlP3Pt7. The X-ray diffraction stick pattern is computed, not measured: it uses a DFT-relaxed cell (PBE, the Materials Project) and a wavelength of 1.5418 Å.
No peak broadening, texture or thermal motion is included.

Crystal structure
```
Ca2AlP3Pt7
1.0
-2.019 2.019 13.641
2.019 -2.019 13.641
2.019 2.019 -13.641
Ca Al P Pt
2 1 3 7
Direct
0.166 0.166 0.000 Ca
0.834 0.834 0.000 Ca
0.000 0.000 0.000 Al
0.378 0.378 0.000 P
0.622 0.622 0.000 P
0.750 0.250 0.500 P
0.073 0.573 0.500 Pt
0.294 0.294 0.000 Pt
0.427 0.927 0.500 Pt
0.500 0.500 0.000 Pt
0.571 0.071 0.500 Pt
0.706 0.706 0.000 Pt
0.929 0.429 0.500 Pt
```

Peak list (10 most intense, 2θ from 15° to 90°, sorted by position)
2θ/deg	intensity
22.26	19
26.13	18
27.48	32
32.03	37
37.16	100
41.24	24
44.90	50
46.01	21
66.71	19
77.67	19

***

Record 2
Diffraction record for Rb2Zr2O5. The X-ray diffraction stick pattern is computed, not measured: it uses a DFT-relaxed cell (PBE, the Materials Project) and a wavelength of 1.5418 Å.
No peak broadening, texture or thermal motion is included.

Crystal structure
```
Rb2Zr2O5
1.0
4.111 0.000 0.000
0.000 4.111 0.000
0.000 0.000 9.202
Rb Zr O
2 2 5
Direct
0.000 0.000 0.000 Rb
0.000 0.000 0.500 Rb
0.500 0.500 0.222 Zr
0.500 0.500 0.778 Zr
0.000 0.500 0.268 O
0.000 0.500 0.732 O
0.500 0.000 0.268 O
0.500 0.000 0.732 O
0.500 0.500 0.000 O
```

Peak list (10 most intense, 2θ from 15° to 90°, sorted by position)
2θ/deg	intensity
29.13	100
30.76	37
39.16	15
44.06	27
50.60	15
53.69	36
60.39	16
64.07	8
72.73	9
88.31	9

***

Record 3
Diffraction record for LiAgF4. The X-ray diffraction stick pattern is computed, not measured: it uses a DFT-relaxed cell (PBE, the Materials Project) and a wavelength of 1.5418 Å.
No peak broadening, texture or thermal motion is included.

Crystal structure
```
LiAgF4
1.0
4.638 0.000 0.000
0.000 3.474 0.000
-0.203 0.000 4.657
Li Ag F
1 1 4
Direct
0.000 0.000 0.000 Li
0.500 0.500 0.500 Ag
0.175 0.500 0.205 F
0.313 0.000 0.713 F
0.687 0.000 0.287 F
0.825 0.500 0.795 F
```

Peak list (10 most intense, 2θ from 15° to 90°, sorted by position)
2θ/deg	intensity
19.10	100
25.65	26
26.54	32
27.74	30
32.17	41
37.24	53
44.42	13
50.47	13
51.88	13
52.00	11

***

Record 4
Diffraction record for K3IO5. The X-ray diffraction stick pattern is computed, not measured: it uses a DFT-relaxed cell (PBE, the Materials Project) and a wavelength of 1.5418 Å.
No peak broadening, texture or thermal motion is included.

Crystal structure
```
K3IO5
1.0
6.318 0.000 0.000
0.000 6.318 0.000
0.000 0.000 16.864
K I O
12 4 20
Direct
0.250 0.250 0.112 K
0.250 0.250 0.612 K
0.250 0.750 0.000 K
0.250 0.750 0.250 K
0.250 0.750 0.500 K
0.250 0.750 0.750 K
0.750 0.250 0.000 K
0.750 0.250 0.250 K
0.750 0.250 0.500 K
0.750 0.250 0.750 K
0.750 0.750 0.388 K
0.750 0.750 0.888 K
0.250 0.250 0.372 I
0.250 0.250 0.872 I
0.750 0.750 0.128 I
0.750 0.750 0.628 I
0.033 0.056 0.394 O
0.033 0.444 0.894 O
0.056 0.033 0.894 O
0.056 0.467 0.394 O
0.250 0.250 0.263 O
0.250 0.250 0.763 O
0.444 0.033 0.394 O
0.444 0.467 0.894 O
0.467 0.056 0.894 O
0.467 0.444 0.394 O
0.533 0.556 0.606 O
0.533 0.944 0.106 O
0.556 0.533 0.106 O
0.556 0.967 0.606 O
0.750 0.750 0.237 O
0.750 0.750 0.737 O
0.944 0.533 0.606 O
0.944 0.967 0.106 O
0.967 0.556 0.106 O
0.967 0.944 0.606 O
```

Peak list (10 most intense, 2θ from 15° to 90°, sorted by position)
2θ/deg	intensity
17.54	71
19.87	27
21.07	17
28.25	43
29.12	100
33.45	13
40.38	34
50.56	35
52.16	16
60.38	15

***

> Which formula does entry 4 have?

K3IO5